# 1
Structure and theoretical powder X-ray diffraction pattern of Li4MnCo2O7 (a crystal structure in the Materials Project, relaxed with PBE+U; Cu Kα (λ = 1.5418 Å)).

Largest 8 diffraction maxima, by angle, 10° ≤ 2θ ≤ 90°:
two_theta, d_spacing, I (rel.), hkl
18.4, 4.825, 1000, 0 1 2
34.2, 2.618, 202, 1 -1 1
36.2, 2.479, 126, 1 2 0
36.9, 2.435, 121, 0 2 -3
41.1, 2.195, 361, -1 2 1
44.1, 2.055, 279, 1 3 2
45.1, 2.009, 250, 0 1 -5
62.7, 1.482, 158, -1 1 6

Crystal structure
Cell: 3.0169 7.7830 11.1314 Å, 79.74 83.09 82.67°
Element x y z (fractional)
1 Li 0.0000 0.0000 0.0000
2 Li 0.0720 0.2135 0.6436
3 Li 0.1472 0.4284 0.2893
4 Li 0.2802 0.8562 0.5767
5 Li 0.4344 0.2827 0.8508
6 Li 0.5716 0.7163 0.1410
7 Li 0.7098 0.1468 0.4327
8 Li 0.8624 0.5721 0.7121
9 Mn 0.7856 0.3563 0.0707
10 Mn 0.9305 0.7851 0.3600
11 Co 0.2113 0.6466 0.9250
12 Co 0.3565 0.0717 0.2160
13 Co 0.5109 0.4864 0.5069
14 Co 0.6368 0.9426 0.7819
15 O 0.0242 0.0942 0.8189
16 O 0.1244 0.3348 0.4691
17 O 0.1497 0.5398 0.0980
18 O 0.2685 0.7572 0.7598
19 O 0.3004 0.9645 0.3864
20 O 0.4139 0.1792 0.0462
21 O 0.4618 0.4064 0.6634
22 O 0.5573 0.6039 0.3371
23 O 0.6234 0.8239 0.9497
24 O 0.6816 0.0209 0.6246
25 O 0.7288 0.2438 0.2426
26 O 0.8089 0.4663 0.8986
27 O 0.8794 0.6714 0.5291
28 O 0.9919 0.8968 0.1876

# 2
Structure and theoretical powder X-ray diffraction pattern of Li7Mn2Co3O12 (a crystal structure in the Materials Project, relaxed with PBE+U; Cu Kα (λ = 1.5418 Å)).

Largest 8 diffraction maxima, by angle, 10° ≤ 2θ ≤ 90°:
two_theta, d_spacing, I (rel.), hkl
11.8, 7.497, 142, 0 1 1
18.3, 4.845, 1000, 0 1 -1
35.1, 2.556, 163, 1 1 2
36.0, 2.493, 122, 0 3 3
42.2, 2.142, 324, 1 0 3
43.8, 2.065, 274, 0 4 2
44.3, 2.043, 271, 1 0 -3
62.4, 1.488, 156, 0 0 6

Crystal structure
Cell: 2.9396 8.2615 9.8247 Å, 65.50 87.35 89.56°
Element x y z (fractional)
1 Li 0.0000 0.0000 0.0000
2 Li 0.0007 0.6543 0.6707
3 Li 0.0071 0.4843 0.0095
4 Li 0.4854 0.8190 0.8332
5 Li 0.4891 0.1798 0.1622
6 Li 0.5062 0.4866 0.5129
7 Li 0.9803 0.3284 0.3272
8 Mn 0.4882 0.6538 0.1629
9 Mn 0.9894 0.8296 0.3338
10 Co 0.4908 0.9932 0.5062
11 Co 0.4966 0.3375 0.8409
12 Co 0.9991 0.1634 0.6701
13 O 0.0030 0.9176 0.6664
14 O 0.0070 0.7348 0.0202
15 O 0.0268 0.2487 0.9893
16 O 0.4689 0.8931 0.1780
17 O 0.4877 0.2348 0.5157
18 O 0.4941 0.5535 0.8319
19 O 0.4960 0.4283 0.1710
20 O 0.5045 0.1024 0.8269
21 O 0.5096 0.7500 0.4890
22 O 0.9677 0.4000 0.6797
23 O 0.9702 0.5960 0.3144
24 O 0.9803 0.0635 0.3434

What did the first record say?
Structure and theoretical powder X-ray diffraction pattern of Li4MnCo2O7 (a crystal structure in the Materials Project, relaxed with PBE+U; Cu Kα (λ = 1.5418 Å)).

Largest 8 diffraction maxima, by angle, 10° ≤ 2θ ≤ 90°:
two_theta, d_spacing, I (rel.), hkl
18.4, 4.825, 1000, 0 1 2
34.2, 2.618, 202, 1 -1 1
36.2, 2.479, 126, 1 2 0
36.9, 2.435, 121, 0 2 -3
41.1, 2.195, 361, -1 2 1
44.1, 2.055, 279, 1 3 2
45.1, 2.009, 250, 0 1 -5
62.7, 1.482, 158, -1 1 6

Crystal structure
Cell: 3.0169 7.7830 11.1314 Å, 79.74 83.09 82.67°
Element x y z (fractional)
1 Li 0.0000 0.0000 0.0000
2 Li 0.0720 0.2135 0.6436
3 Li 0.1472 0.4284 0.2893
4 Li 0.2802 0.8562 0.5767
5 Li 0.4344 0.2827 0.8508
6 Li 0.5716 0.7163 0.1410
7 Li 0.7098 0.1468 0.4327
8 Li 0.8624 0.5721 0.7121
9 Mn 0.7856 0.3563 0.0707
10 Mn 0.9305 0.7851 0.3600
11 Co 0.2113 0.6466 0.9250
12 Co 0.3565 0.0717 0.2160
13 Co 0.5109 0.4864 0.5069
14 Co 0.6368 0.9426 0.7819
15 O 0.0242 0.0942 0.8189
16 O 0.1244 0.3348 0.4691
17 O 0.1497 0.5398 0.0980
18 O 0.2685 0.7572 0.7598
19 O 0.3004 0.9645 0.3864
20 O 0.4139 0.1792 0.0462
21 O 0.4618 0.4064 0.6634
22 O 0.5573 0.6039 0.3371
23 O 0.6234 0.8239 0.9497
24 O 0.6816 0.0209 0.6246
25 O 0.7288 0.2438 0.2426
26 O 0.8089 0.4663 0.8986
27 O 0.8794 0.6714 0.5291
28 O 0.9919 0.8968 0.1876